Entry 1:
Calculated powder XRD pattern of ThGe2 for CuKα, from a crystal structure in the Materials Project, relaxed with PBE.

Structural model:
Lattice parameters (Å, degrees): 4.0691 4.0691 16.8059 90.00 90.00 90.00
Space group I4_1/amd (No. 141, origin choice 2)
One atom of each set of equivalent atoms:
Th1 0.0000 0.2500 0.3750
Ge1 0.0000 0.2500 0.7951

Largest 10 diffraction maxima, in order of falling intensity, 2θ = 5–70°:
2theta, I (rel.)
32.90, 100
34.61, 56
27.08, 40
44.53, 33
64.21, 33
43.78, 33
57.60, 26
21.15, 20
52.90, 13
64.81, 11

***

Entry 2:
Calculated powder XRD pattern of Ti5Ge4 for CuKα, from a crystal structure in the Materials Project, relaxed with PBE.

Structural model:
Lattice parameters (Å, degrees): 6.6821 12.8885 6.7759 90.00 90.00 90.00
Space group Pnma (No. 62)
One atom of each set of equivalent atoms:
Ti1 0.0149 0.0937 0.1784
Ti2 0.1493 0.6259 0.3340
Ti3 0.1736 0.2500 0.5052
Ge1 0.0466 0.2500 0.8893
Ge2 0.1817 0.7500 0.6527
Ge3 0.1932 0.0398 0.5364

Largest 10 diffraction maxima, in order of falling intensity, 2θ = 5–70°:
2theta, I (rel.)
36.35, 100
36.56, 78
42.73, 73
38.53, 55
42.84, 53
41.14, 44
39.77, 33
40.95, 29
53.37, 27
42.06, 25

***

Entry 3:
Calculated powder XRD pattern of Ti2Ge for CuKα, from a crystal structure in the Materials Project, relaxed with PBE.

Structural model:
Lattice parameters (Å, degrees): 6.2089 6.2089 6.2089 90.00 90.00 90.00
Space group F-43m (No. 216)
One atom of each set of equivalent atoms:
Ti1 0.0000 0.0000 0.0000
Ti2 0.2500 0.2500 0.2500
Ge1 0.0000 0.0000 0.5000

Largest 8 diffraction maxima, in order of falling intensity, 2θ = 5–70°:
2theta, I (rel.)
41.12, 100
24.84, 28
28.76, 26
59.56, 16
48.64, 13
67.46, 9
50.95, 7
65.53, 5

***

Entry 4:
Calculated powder XRD pattern of TmTiGe for CuKα, from a crystal structure in the Materials Project, relaxed with PBE.

Structural model:
Lattice parameters (Å, degrees): 4.0263 4.0263 7.5795 90.00 90.00 90.00
Space group P4/nmm (No. 129, origin choice 2)
One atom of each set of equivalent atoms:
Tm1 0.2500 0.2500 0.1580
Ti1 0.2500 0.7500 0.5000
Ge1 0.2500 0.2500 0.7494

Largest 10 diffraction maxima, in order of falling intensity, 2θ = 5–70°:
2theta, I (rel.)
32.44, 100
39.59, 88
31.42, 87
33.63, 74
45.03, 71
56.59, 42
35.53, 37
58.63, 34
25.04, 34
65.83, 31

***

Entry 5:
Calculated powder XRD pattern of YTiGe for CuKα, from a crystal structure in the Materials Project, relaxed with PBE.

Structural model:
Lattice parameters (Å, degrees): 4.0662 4.0662 7.6910 90.00 90.00 90.00
Space group P4/nmm (No. 129, origin choice 2)
One atom of each set of equivalent atoms:
Y1 0.2500 0.2500 0.1563
Ti1 0.2500 0.7500 0.5000
Ge1 0.2500 0.2500 0.7424

Largest 10 diffraction maxima, in order of falling intensity, 2θ = 5–70°:
2theta, I (rel.)
39.12, 100
44.57, 63
32.03, 58
33.27, 57
31.11, 53
64.83, 43
41.65, 29
55.93, 23
35.00, 22
57.89, 19

***

Entry 6:
Calculated powder XRD pattern of YTiGe for CuKα, from a crystal structure in the Materials Project, relaxed with PBE.

Structural model:
Lattice parameters (Å, degrees): 4.0604 4.0604 15.4745 90.00 90.00 90.00
Space group I4/mmm (No. 139)
One atom of each set of equivalent atoms:
Y1 0.0000 0.0000 0.1741
Ti1 0.0000 0.5000 0.0000
Ge1 0.0000 0.0000 0.3776

Largest 10 diffraction maxima, in order of falling intensity, 2θ = 5–70°:
2theta, I (rel.)
39.07, 100
36.50, 75
44.63, 66
33.28, 64
31.15, 56
58.97, 36
58.28, 27
34.78, 24
57.80, 21
64.96, 21

***

Entry 7:
Calculated powder XRD pattern of Tl3Ge for CuKα, from a crystal structure in the Materials Project, relaxed with PBE.

Structural model:
Lattice parameters (Å, degrees): 7.0475 7.0475 5.3500 90.00 90.00 120.00
Space group P6_3/mmc (No. 194)
One atom of each set of equivalent atoms:
Tl1 0.1729 0.3458 0.2500
Ge1 0.3333 0.6667 0.7500

Largest 10 diffraction maxima, in order of falling intensity, 2θ = 5–70°:
2theta, I (rel.)
33.82, 100
29.27, 24
33.50, 23
63.19, 22
51.90, 20
60.09, 20
63.39, 16
45.07, 15
22.09, 13
25.27, 4

***

Entry 8:
Calculated powder XRD pattern of Tl3Ge for CuKα, from a crystal structure in the Materials Project, relaxed with PBE.

Structural model:
Lattice parameters (Å, degrees): 5.3443 5.3443 7.9094 90.00 90.00 90.00
Space group I4/mmm (No. 139)
One atom of each set of equivalent atoms:
Tl1 0.0000 0.0000 0.0000
Tl2 0.0000 0.5000 0.2500
Ge1 0.0000 0.0000 0.5000

Largest 10 diffraction maxima, in order of falling intensity, 2θ = 5–70°:
2theta, I (rel.)
32.78, 100
33.54, 47
59.48, 37
58.03, 20
48.16, 17
68.71, 12
20.05, 11
45.89, 10
39.38, 4
23.54, 4

***

Entry 9:
Calculated powder XRD pattern of Tl3Ge for CuKα, from a crystal structure in the Materials Project, relaxed with PBE.

Structural model:
Lattice parameters (Å, degrees): 4.8185 4.8185 4.8185 90.00 90.00 90.00
Space group Pm-3m (No. 221)
One atom of each set of equivalent atoms:
Tl1 0.0000 0.0000 0.5000
Ge1 0.5000 0.5000 0.5000

Largest 10 diffraction maxima, in order of falling intensity, 2θ = 5–70°:
2theta, I (rel.)
32.18, 100
37.32, 51
64.10, 42
53.81, 36
67.31, 12
18.41, 10
26.15, 8
41.92, 5
46.15, 4
57.37, 3

***

Entry 10:
Calculated powder XRD pattern of Tm5Ge4 for CuKα, from a crystal structure in the Materials Project, relaxed with PBE.

Structural model:
Lattice parameters (Å, degrees): 7.5006 14.4934 7.6261 90.00 90.00 90.00
Space group Pnma (No. 62)
One atom of each set of equivalent atoms:
Tm1 0.0174 0.0964 0.1825
Tm2 0.1316 0.6197 0.3386
Tm3 0.2052 0.2500 0.4993
Ge1 0.0717 0.2500 0.8823
Ge2 0.1741 0.7500 0.6409
Ge3 0.2119 0.0434 0.5358

Largest 10 diffraction maxima, in order of falling intensity, 2θ = 5–70°:
2theta, I (rel.)
32.20, 100
37.88, 89
34.13, 59
32.42, 58
36.44, 49
33.52, 35
37.22, 31
53.79, 28
35.22, 28
34.42, 28

***

Entry 11:
Calculated powder XRD pattern of Tm3Ge4 for CuKα, from a crystal structure in the Materials Project, relaxed with PBE.

Structural model:
Lattice parameters (Å, degrees): 4.0184 10.5876 14.1993 90.00 90.00 90.00
Space group Cmcm (No. 63)
One atom of each set of equivalent atoms:
Tm1 0.0000 0.0484 0.2500
Tm2 0.0000 0.3318 0.0972
Ge1 0.0000 0.0000 0.0000
Ge2 0.0000 0.2224 0.7500
Ge3 0.0000 0.3791 0.6084

Largest 10 diffraction maxima, in order of falling intensity, 2θ = 5–70°:
2theta, I (rel.)
34.77, 100
33.80, 80
30.35, 52
34.46, 40
42.59, 36
45.13, 35
38.93, 33
26.85, 27
38.02, 26
25.24, 23

***

Entry 12:
Calculated powder XRD pattern of Tm2Ge3 for CuKα, from a crystal structure in the Materials Project, relaxed with PBE.

Structural model:
Lattice parameters (Å, degrees): 6.9302 4.3708 7.5902 90.00 90.00 90.00
Space group Amm2 (No. 38)
One atom of each set of equivalent atoms:
Tm1 0.2298 0.0000 0.0000
Ge1 0.0000 0.0000 0.6675
Ge2 0.5000 0.0000 0.3340
Ge3 0.5000 0.0000 0.6663

Largest 10 diffraction maxima, in order of falling intensity, 2θ = 5–70°:
2theta, I (rel.)
35.09, 100
41.26, 51
23.47, 38
55.25, 27
69.16, 19
26.81, 11
52.84, 7
48.01, 6
58.06, 5
58.58, 4

***

What did the fourth record say?
Calculated powder XRD pattern of TmTiGe for CuKα, from a crystal structure in the Materials Project, relaxed with PBE.

Structural model:
Lattice parameters (Å, degrees): 4.0263 4.0263 7.5795 90.00 90.00 90.00
Space group P4/nmm (No. 129, origin choice 2)
One atom of each set of equivalent atoms:
Tm1 0.2500 0.2500 0.1580
Ti1 0.2500 0.7500 0.5000
Ge1 0.2500 0.2500 0.7494

Largest 10 diffraction maxima, in order of falling intensity, 2θ = 5–70°:
2theta, I (rel.)
32.44, 100
39.59, 88
31.42, 87
33.63, 74
45.03, 71
56.59, 42
35.53, 37
58.63, 34
25.04, 34
65.83, 31